This entry pairs a crystal structure of K3Ge7HO20 with its theoretical powder X-ray diffraction pattern. Radiation: λ = 1.5418 Å (Cu Kα). Structure: a DFT-relaxed cell (PBE, the Materials Project).
No peak broadening, texture or thermal motion is included.

Crystal structure
```
K3Ge7HO20
1.0
5.496 3.173 4.553
-5.496 3.173 4.553
0.000 -6.347 4.553
K Ge H O
3 7 1 20
Direct
0.175 0.175 0.649
0.175 0.649 0.175
0.649 0.175 0.175
0.176 0.681 0.681
0.518 0.832 0.832
0.546 0.546 0.546
0.681 0.176 0.681
0.681 0.681 0.176
0.832 0.518 0.832
0.832 0.832 0.518
0.743 0.743 0.743
0.001 0.427 0.427
0.007 0.007 0.007
0.063 0.537 0.816
0.063 0.816 0.537
0.289 0.818 0.818
0.311 0.552 0.552
0.427 0.001 0.427
0.427 0.427 0.001
0.537 0.063 0.816
0.537 0.816 0.063
0.552 0.311 0.552
0.552 0.552 0.311
0.575 0.575 0.804
0.575 0.804 0.575
0.804 0.575 0.575
0.814 0.814 0.814
0.816 0.063 0.537
0.816 0.537 0.063
0.818 0.289 0.818
0.818 0.818 0.289
```

Top 10 peaks for 5° ≤ 2θ ≤ 70°, in order of rising 2θ:
11.33°, d 7.810, rel. 1000; 19.75°, d 4.495, rel. 134; 22.77°, d 3.905, rel. 95; 27.75°, d 3.214, rel. 88; 28.05°, d 3.181, rel. 276; 32.26°, d 2.775, rel. 154; 32.58°, d 2.748, rel. 190; 34.45°, d 2.603, rel. 99; 36.27°, d 2.477, rel. 132; 36.48°, d 2.463, rel. 89